Starting from the GGA+U geometry in Alexandria, the X-ray diffraction stick pattern of Pr5Co2O12 was simulated for copper Kα.

Largest 6 diffraction maxima, in order of rising 2θ, 2θ from 15° to 90°:
two_theta, I/Imax
26.6, 94.8
27.9, 100.0
30.1, 21.5
32.2, 24.9
32.4, 24.3
44.7, 36.4

Crystal structure
```
data_Pr5Co2O12
_chemical_formula_sum 'Pr5 Co2 O12'
_space_group_name_H-M_alt 'P 1'
_space_group_IT_number 1
_space_group_name_Hall 'P 1'
_cell_length_a 7.016
_cell_length_b 7.016
_cell_length_c 7.605
_cell_angle_alpha 105.49
_cell_angle_beta 105.49
_cell_angle_gamma 50.07
loop_
_atom_site_label
_atom_site_fract_x
_atom_site_fract_y
_atom_site_fract_z
_atom_site_occupancy
Pr1 0.000 0.000 0.000 1
Pr2 0.306 0.306 0.662 1
Pr3 0.310 0.310 0.147 1
Pr4 0.690 0.690 0.853 1
Pr5 0.694 0.694 0.338 1
Co1 0.243 0.757 0.500 1
Co2 0.757 0.243 0.500 1
O1 0.001 0.001 0.662 1
O2 0.096 0.597 0.920 1
O3 0.103 0.592 0.426 1
O4 0.403 0.904 0.080 1
O5 0.408 0.897 0.574 1
O6 0.499 0.499 0.664 1
O7 0.501 0.501 0.336 1
O8 0.592 0.103 0.426 1
O9 0.597 0.096 0.920 1
O10 0.897 0.408 0.574 1
O11 0.904 0.403 0.080 1
O12 0.999 0.999 0.338 1
```

Starting from the GGA+U geometry in Alexandria, the X-ray diffraction stick pattern of Rb4Pr3CoO8 was simulated for copper Kα.

Largest 6 diffraction maxima, in order of rising 2θ, 2θ from 15° to 90°:
two_theta, I/Imax
27.0, 54.3
29.7, 76.9
30.4, 35.4
33.6, 100.0
34.5, 43.1
46.7, 32.4

Crystal structure
```
data_Rb4Pr3CoO8
_chemical_formula_sum 'Rb4 Pr3 Co1 O8'
_space_group_name_H-M_alt 'P 1'
_space_group_IT_number 1
_space_group_name_Hall 'P 1'
_cell_length_a 7.156
_cell_length_b 7.156
_cell_length_c 7.795
_cell_angle_alpha 117.12
_cell_angle_beta 117.12
_cell_angle_gamma 61.92
loop_
_atom_site_label
_atom_site_fract_x
_atom_site_fract_y
_atom_site_fract_z
_atom_site_occupancy
Rb1 0.000 0.000 0.000 1
Rb2 0.000 0.500 0.000 1
Rb3 0.500 0.000 0.000 1
Rb4 0.500 0.500 0.000 1
Pr1 0.000 0.000 0.500 1
Pr2 0.000 0.500 0.500 1
Pr3 0.500 0.000 0.500 1
Co1 0.500 0.500 0.500 1
O1 0.219 0.739 0.696 1
O2 0.232 0.232 0.683 1
O3 0.261 0.781 0.304 1
O4 0.318 0.318 0.351 1
O5 0.682 0.682 0.649 1
O6 0.739 0.219 0.696 1
O7 0.768 0.768 0.317 1
O8 0.781 0.261 0.304 1
```

Starting from the GGA+U geometry in Alexandria, the X-ray diffraction stick pattern of SrPr2CoO5 was simulated for copper Kα.

Largest 6 diffraction maxima, in order of rising 2θ, 2θ from 15° to 90°:
two_theta, I/Imax
15.6, 30.3
29.5, 30.7
30.7, 100.0
31.5, 40.1
33.5, 82.2
43.7, 56.1

Crystal structure
```
data_SrPr2CoO5
_chemical_formula_sum 'Sr2 Pr4 Co2 O10'
_space_group_name_H-M_alt 'P 1'
_space_group_IT_number 1
_space_group_name_Hall 'P 1'
_cell_length_a 6.775
_cell_length_b 6.775
_cell_length_c 5.680
_cell_angle_alpha 90.00
_cell_angle_beta 90.00
_cell_angle_gamma 90.00
loop_
_atom_site_label
_atom_site_fract_x
_atom_site_fract_y
_atom_site_fract_z
_atom_site_occupancy
Sr1 0.000 0.000 0.000 1
Sr2 0.500 0.500 0.000 1
Pr1 0.173 0.327 0.500 1
Pr2 0.327 0.827 0.500 1
Pr3 0.673 0.173 0.500 1
Pr4 0.827 0.673 0.500 1
Co1 0.000 0.500 0.000 1
Co2 0.500 0.000 0.000 1
O1 0.000 0.000 0.500 1
O2 0.137 0.637 0.235 1
O3 0.137 0.637 0.765 1
O4 0.363 0.137 0.235 1
O5 0.363 0.137 0.765 1
O6 0.500 0.500 0.500 1
O7 0.637 0.863 0.235 1
O8 0.637 0.863 0.765 1
O9 0.863 0.363 0.235 1
O10 0.863 0.363 0.765 1
```

Starting from the GGA+U geometry in Alexandria, the X-ray diffraction stick pattern of PuCo2PtO8 was simulated for copper Kα.

Largest 6 diffraction maxima, in order of rising 2θ, 2θ from 15° to 90°:
two_theta, I/Imax
18.6, 70.8
27.3, 90.2
32.1, 100.0
39.0, 22.1
51.4, 65.9
59.9, 25.2

Crystal structure
```
data_PuCo2PtO8
_chemical_formula_sum 'Pu1 Co2 Pt1 O8'
_space_group_name_H-M_alt 'P 1'
_space_group_IT_number 1
_space_group_name_Hall 'P 1'
_cell_length_a 5.795
_cell_length_b 5.795
_cell_length_c 5.795
_cell_angle_alpha 111.42
_cell_angle_beta 111.42
_cell_angle_gamma 105.63
loop_
_atom_site_label
_atom_site_fract_x
_atom_site_fract_y
_atom_site_fract_z
_atom_site_occupancy
Pu1 0.000 0.000 0.000 1
Co1 0.500 0.500 0.000 1
Co2 0.750 0.250 0.500 1
Pt1 0.250 0.750 0.500 1
O1 0.286 0.087 0.801 1
O2 0.286 0.484 0.199 1
O3 0.366 0.066 0.300 1
O4 0.516 0.714 0.801 1
O5 0.766 0.066 0.700 1
O6 0.913 0.714 0.199 1
O7 0.934 0.234 0.300 1
O8 0.934 0.634 0.700 1
```

Starting from the GGA+U geometry in Alexandria, the X-ray diffraction stick pattern of Tl2CoPt2O6 was simulated for copper Kα.

Largest 6 diffraction maxima, in order of rising 2θ, 2θ from 15° to 90°:
two_theta, I/Imax
20.9, 39.0
28.0, 55.6
33.8, 100.0
37.5, 71.5
38.0, 32.8
50.8, 28.4

Crystal structure
```
data_Tl2CoPt2O6
_chemical_formula_sum 'Tl2 Co1 Pt2 O6'
_space_group_name_H-M_alt 'P 1'
_space_group_IT_number 1
_space_group_name_Hall 'P 1'
_cell_length_a 5.521
_cell_length_b 5.521
_cell_length_c 6.597
_cell_angle_alpha 97.54
_cell_angle_beta 97.54
_cell_angle_gamma 120.28
loop_
_atom_site_label
_atom_site_fract_x
_atom_site_fract_y
_atom_site_fract_z
_atom_site_occupancy
Tl1 0.165 0.835 0.000 1
Tl2 0.835 0.165 0.000 1
Co1 0.000 0.000 0.500 1
Pt1 0.334 0.666 0.500 1
Pt2 0.666 0.334 0.500 1
O1 0.048 0.391 0.657 1
O2 0.290 0.290 0.345 1
O3 0.391 0.048 0.657 1
O4 0.609 0.952 0.343 1
O5 0.710 0.710 0.655 1
O6 0.952 0.609 0.343 1
```

Starting from the GGA+U geometry in Alexandria, the X-ray diffraction stick pattern of Pu2CoO11 was simulated for copper Kα.

Largest 6 diffraction maxima, in order of rising 2θ, 2θ from 15° to 90°:
two_theta, I/Imax
18.2, 63.5
18.4, 65.7
21.4, 84.6
22.3, 53.0
24.5, 100.0
32.7, 31.6

Crystal structure
```
data_Pu2CoO11
_chemical_formula_sum 'Pu4 Co2 O22'
_space_group_name_H-M_alt 'P 1'
_space_group_IT_number 1
_space_group_name_Hall 'P 1'
_cell_length_a 7.528
_cell_length_b 7.528
_cell_length_c 10.172
_cell_angle_alpha 117.47
_cell_angle_beta 117.47
_cell_angle_gamma 74.46
loop_
_atom_site_label
_atom_site_fract_x
_atom_site_fract_y
_atom_site_fract_z
_atom_site_occupancy
Pu1 0.104 0.896 0.500 1
Pu2 0.309 0.653 0.992 1
Pu3 0.653 0.309 0.492 1
Pu4 0.896 0.104 0.000 1
Co1 0.123 0.374 0.485 1
Co2 0.374 0.123 0.985 1
O1 0.022 0.795 0.285 1
O2 0.027 0.810 0.976 1
O3 0.087 0.624 0.485 1
O4 0.143 0.179 0.016 1
O5 0.179 0.143 0.516 1
O6 0.209 0.992 0.721 1
O7 0.226 0.528 0.775 1
O8 0.349 0.383 0.000 1
O9 0.383 0.349 0.500 1
O10 0.386 0.774 0.206 1
O11 0.401 0.872 0.984 1
O12 0.453 0.765 0.493 1
O13 0.528 0.226 0.275 1
O14 0.576 0.691 0.591 1
O15 0.624 0.087 0.985 1
O16 0.691 0.576 0.091 1
O17 0.765 0.453 0.993 1
O18 0.774 0.386 0.706 1
O19 0.795 0.022 0.785 1
O20 0.810 0.027 0.476 1
O21 0.872 0.401 0.484 1
O22 0.992 0.209 0.221 1
```

Starting from the GGA+U geometry in Alexandria, the X-ray diffraction stick pattern of Tb2PuCoO8 was simulated for copper Kα.

Largest 6 diffraction maxima, in order of rising 2θ, 2θ from 15° to 90°:
two_theta, I/Imax
24.6, 59.0
26.3, 47.4
31.7, 100.0
36.4, 27.6
48.0, 41.5
49.9, 33.5

Crystal structure
```
data_Tb2PuCoO8
_chemical_formula_sum 'Tb2 Pu1 Co1 O8'
_space_group_name_H-M_alt 'P 1'
_space_group_IT_number 1
_space_group_name_Hall 'P 1'
_cell_length_a 4.950
_cell_length_b 6.892
_cell_length_c 4.952
_cell_angle_alpha 90.00
_cell_angle_beta 93.72
_cell_angle_gamma 90.00
loop_
_atom_site_label
_atom_site_fract_x
_atom_site_fract_y
_atom_site_fract_z
_atom_site_occupancy
Tb1 0.000 0.241 0.000 1
Tb2 0.000 0.759 0.000 1
Pu1 0.500 0.500 0.500 1
Co1 0.500 0.000 0.500 1
O1 0.207 0.500 0.201 1
O2 0.232 0.000 0.229 1
O3 0.315 0.276 0.680 1
O4 0.315 0.724 0.680 1
O5 0.685 0.276 0.320 1
O6 0.685 0.724 0.320 1
O7 0.768 0.000 0.771 1
O8 0.793 0.500 0.799 1
```

Starting from the GGA+U geometry in Alexandria, the X-ray diffraction stick pattern of TbPuCo2O8 was simulated for copper Kα.

Largest 6 diffraction maxima, in order of rising 2θ, 2θ from 15° to 90°:
two_theta, I/Imax
18.6, 60.2
26.0, 100.0
32.6, 88.9
37.1, 24.5
50.2, 66.9
64.1, 18.7

Crystal structure
```
data_TbPuCo2O8
_chemical_formula_sum 'Tb1 Pu1 Co2 O8'
_space_group_name_H-M_alt 'P 1'
_space_group_IT_number 1
_space_group_name_Hall 'P 1'
_cell_length_a 5.880
_cell_length_b 5.880
_cell_length_c 5.880
_cell_angle_alpha 108.73
_cell_angle_beta 108.73
_cell_angle_gamma 110.97
loop_
_atom_site_label
_atom_site_fract_x
_atom_site_fract_y
_atom_site_fract_z
_atom_site_occupancy
Tb1 0.000 0.000 0.000 1
Pu1 0.250 0.750 0.500 1
Co1 0.500 0.500 0.000 1
Co2 0.750 0.250 0.500 1
O1 0.299 0.095 0.796 1
O2 0.299 0.503 0.204 1
O3 0.389 0.063 0.326 1
O4 0.497 0.701 0.796 1
O5 0.738 0.063 0.674 1
O6 0.905 0.701 0.204 1
O7 0.937 0.262 0.326 1
O8 0.937 0.611 0.674 1
```

Starting from the GGA+U geometry in Alexandria, the X-ray diffraction stick pattern of PuTlCo2O5 was simulated for copper Kα.

Largest 6 diffraction maxima, in order of rising 2θ, 2θ from 15° to 90°:
two_theta, I/Imax
19.8, 22.4
23.3, 30.4
29.7, 25.0
30.7, 100.0
36.3, 23.8
53.3, 23.4

Crystal structure
```
data_PuTlCo2O5
_chemical_formula_sum 'Pu1 Tl1 Co2 O5'
_space_group_name_H-M_alt 'P 1'
_space_group_IT_number 1
_space_group_name_Hall 'P 1'
_cell_length_a 5.938
_cell_length_b 5.938
_cell_length_c 5.938
_cell_angle_alpha 130.79
_cell_angle_beta 119.10
_cell_angle_gamma 81.98
loop_
_atom_site_label
_atom_site_fract_x
_atom_site_fract_y
_atom_site_fract_z
_atom_site_occupancy
Pu1 0.000 0.000 0.000 1
Tl1 0.500 0.500 0.000 1
Co1 0.223 0.723 0.500 1
Co2 0.777 0.277 0.500 1
O1 0.000 0.500 0.500 1
O2 0.071 0.836 0.234 1
O3 0.398 0.164 0.234 1
O4 0.602 0.836 0.766 1
O5 0.929 0.164 0.766 1
```